(1)
Structure and computed X-ray powder pattern of Li2MnCoO4 (DFT lattice parameters and positions (GGA+U); a wavelength of 1.5418 Å).

Crystal structure
```
Li2MnCoO4
1.0
2.984 0.000 0.000
-1.151 4.962 0.000
-0.630 -1.809 10.109
Li Mn Co O
4 2 2 8
Direct
0.000 0.000 0.000
0.000 0.000 0.500
0.494 0.996 0.251
0.506 0.004 0.749
0.257 0.506 0.375
0.743 0.494 0.625
0.247 0.494 0.875
0.753 0.506 0.125
0.099 0.262 0.690
0.129 0.278 0.189
0.371 0.728 0.062
0.392 0.730 0.557
0.608 0.270 0.443
0.629 0.272 0.938
0.871 0.722 0.811
0.901 0.738 0.310
```

Most intense lines, 10° ≤ 2θ ≤ 80°, by intensity:
Position (°2θ), I/Imax, index
18.16, 100, 0 1 0
41.01, 31, 1 1 -2
43.10, 27, 0 1 4
44.76, 23, 1 -2 2
34.14, 19, 1 0 -2
35.52, 14, 0 0 4
36.65, 11, 1 -1 2
36.78, 10, 0 2 0
63.32, 9, -1 3 2
64.45, 9, 1 -1 6

***

(2)
Structure and computed X-ray powder pattern of Li4MnCo2O7 (DFT lattice parameters and positions (GGA+U); a wavelength of 1.5418 Å).

Crystal structure
```
Li4MnCo2O7
1.0
5.116 0.000 0.000
1.723 4.850 0.000
2.400 0.160 10.154
Li Mn Co O
8 2 4 14
Direct
0.000 0.000 0.000
0.067 0.498 0.860
0.217 0.499 0.569
0.363 0.496 0.284
0.500 0.500 0.000
0.637 0.504 0.716
0.783 0.501 0.431
0.933 0.502 0.140
0.434 0.993 0.140
0.566 0.007 0.860
0.135 0.004 0.723
0.287 0.995 0.430
0.713 0.005 0.570
0.865 0.996 0.277
0.024 0.774 0.428
0.135 0.220 0.277
0.194 0.770 0.146
0.281 0.226 0.000
0.327 0.782 0.849
0.398 0.235 0.722
0.457 0.772 0.567
0.543 0.228 0.433
0.602 0.765 0.278
0.673 0.218 0.151
0.719 0.774 0.000
0.806 0.230 0.854
0.865 0.780 0.723
0.976 0.226 0.572
```

Most intense lines, 10° ≤ 2θ ≤ 80°, by intensity:
Position (°2θ), I/Imax, index
18.29, 100, 0 1 0
43.18, 57, 2 2 1
44.20, 26, 1 -1 4
62.79, 15, 3 1 -2
35.62, 14, 2 1 1
35.80, 14, 1 0 -3
36.46, 12, 1 0 4
56.95, 11, 2 3 1
62.64, 8, 1 3 4
63.74, 8, 3 1 5

***

(3)
Structure and computed X-ray powder pattern of Li7Mn2Co3O12 (DFT lattice parameters and positions (GGA+U); a wavelength of 1.5418 Å).

Crystal structure
```
Li7Mn2Co3O12
1.0
2.887 0.000 0.000
0.103 5.131 0.000
1.281 2.455 14.514
Li Mn Co O
7 2 3 12
Direct
0.000 0.000 0.000
0.071 0.410 0.843
0.147 0.828 0.681
0.321 0.662 0.347
0.493 0.482 0.997
0.653 0.339 0.686
0.818 0.155 0.349
0.571 0.911 0.844
0.905 0.577 0.177
0.237 0.245 0.511
0.406 0.078 0.176
0.738 0.744 0.511
0.040 0.724 0.918
0.100 0.098 0.770
0.179 0.548 0.587
0.293 0.944 0.432
0.380 0.391 0.251
0.430 0.762 0.105
0.530 0.175 0.923
0.611 0.647 0.766
0.679 0.049 0.585
0.794 0.443 0.433
0.865 0.854 0.252
0.945 0.303 0.102
```

Most intense lines, 10° ≤ 2θ ≤ 80°, by intensity:
Position (°2θ), I/Imax, index
18.34, 100, 0 0 3
43.17, 30, 1 1 -3
43.35, 29, 0 2 5
44.25, 27, 1 -1 4
35.58, 14, 0 2 2
35.83, 14, 1 1 0
36.61, 12, 1 -1 1
12.20, 9, 0 0 2
17.55, 8, 0 1 0
62.58, 8, 1 3 2